Starting from a structure optimized by DFT (GGA-PBE), the powder diffraction line list of TbPr7Sm2 was calculated for a wavelength of 1.5418 Å.
No peak broadening, texture or thermal motion is included.

Structural model:
abc: 6.744 3.485 15.422
angles: 90.00 102.62 90.00
Sites, in units of the cell vectors:
Tb: 0.000 0.000 0.000
Pr: 0.143 0.500 0.801
Pr: 0.310 0.000 0.619
Pr: 0.342 0.500 0.199
Pr: 0.500 0.500 0.000
Pr: 0.658 0.500 0.801
Pr: 0.690 0.000 0.381
Pr: 0.857 0.500 0.199
Sm: 0.206 0.500 0.413
Sm: 0.794 0.500 0.587

The 10 most intense peaks (2θ = 10–90°), by intensity:
d_spacing	two_theta	intensity
2.958	30.2	100
3.010	29.7	81
3.077	29.0	77
2.799	32.0	65
2.512	35.7	62
1.855	49.1	45
2.862	31.3	30
2.307	39.0	25
1.743	52.5	25
1.517	61.1	22

Starting from a structure optimized by DFT (GGA-PBE), the powder diffraction line list of Ca2Zn2In was calculated for a wavelength of 1.5418 Å.
No peak broadening, texture or thermal motion is included.

Structural model:
abc: 5.946 5.946 5.946
angles: 134.38 122.17 76.59
Sites, in units of the cell vectors:
Ca: 0.201 0.201 0.000
Ca: 0.799 0.799 0.000
Zn: 0.220 0.500 0.720
Zn: 0.780 0.500 0.280
In: 0.500 0.000 0.500

The 10 most intense peaks (2θ = 10–90°), by intensity:
d_spacing	two_theta	intensity
2.849	31.4	100
2.360	38.1	98
4.666	19.0	67
2.305	39.1	36
1.482	62.7	31
2.333	38.6	26
2.736	32.7	25
1.920	47.4	23
4.895	18.1	17
1.640	56.1	17

Starting from a structure optimized by DFT (GGA-PBE), the powder diffraction line list of Sr6Mg5Tl was calculated for a wavelength of 1.5418 Å.
No peak broadening, texture or thermal motion is included.

Structural model:
abc: 10.195 10.195 10.195
angles: 146.46 131.64 60.13
Sites, in units of the cell vectors:
Sr: 0.082 0.336 0.746
Sr: 0.243 0.000 0.243
Sr: 0.410 0.664 0.746
Sr: 0.590 0.336 0.254
Sr: 0.757 0.000 0.757
Sr: 0.918 0.664 0.254
Mg: 0.172 0.172 0.000
Mg: 0.334 0.834 0.500
Mg: 0.500 0.500 0.000
Mg: 0.666 0.166 0.500
Mg: 0.828 0.828 0.000
Tl: 0.000 0.500 0.500

The 10 most intense peaks (2θ = 10–90°), by intensity:
d_spacing	two_theta	intensity
2.945	30.3	100
1.699	54.0	26
7.549	11.7	13
1.703	53.8	13
2.080	43.5	12
1.316	71.7	11
1.113	87.7	10
8.823	10.0	9
4.809	18.4	9
1.473	63.1	8